[1]
Theoretical XRD peak list
Compound: Li4Mn3NbO8
Radiation: Cu Kα (λ = 1.5418 Å)
Structure: a cell relaxed with PBE+U

Atomic structure:
abc: 10.4095 6.2657 10.6642
angles: 90.00 108.48 90.00
Space group Cc (No. 9)
One atom of each set of equivalent atoms:
Li 0.0000 0.0152 0.0000
Li 0.0076 0.2484 0.7604
Li 0.0078 0.2561 0.2605
Li 0.0160 0.4809 0.5224
Mn 0.2576 0.0029 0.2616
Mn 0.2584 0.4975 0.7597
Mn 0.2588 0.2555 0.5111
Nb 0.2571 0.2385 0.0103
O 0.1314 0.2480 0.1209
O 0.1379 0.0165 0.8962
O 0.1455 0.4776 0.8849
O 0.1515 0.2715 0.6508
O 0.3639 0.2758 0.3694
O 0.3704 0.4776 0.1356
O 0.3772 0.0159 0.1253
O 0.3838 0.2458 0.9002

The 6 most intense peaks (2θ from 10° to 90°), in order of rising 2θ:
- (2 0 0), 4.936 Å, 17.97 deg, rel. 1000
- (0 2 2), 2.663 Å, 33.65 deg, rel. 342
- (2 0 -4), 2.611 Å, 34.34 deg, rel. 162
- (0 0 4), 2.527 Å, 35.52 deg, rel. 186
- (2 2 2), 2.196 Å, 41.11 deg, rel. 547
- (4 0 -4), 2.137 Å, 42.29 deg, rel. 257

[2]
Theoretical XRD peak list
Compound: Li13Mn3Nb2O16
Radiation: Cu Kα (λ = 1.5418 Å)
Structure: a cell relaxed with PBE+U

Atomic structure:
abc: 10.3976 6.0890 9.9981
angles: 90.00 91.21 90.00
Space group Cm (No. 8)
One atom of each set of equivalent atoms:
Li 0.0000 0.0000 0.0000
Li 0.0036 0.5000 0.0074
Li 0.1493 0.0000 0.8074
Li 0.1556 0.5000 0.3484
Li 0.2479 0.2028 0.2935
Li 0.3339 0.0000 0.7332
Li 0.3738 0.3030 0.5249
Li 0.4513 0.2958 0.7754
Li 0.4542 0.0000 0.2486
Li 0.4940 0.0000 0.4945
Mn 0.1511 0.0000 0.5311
Mn 0.2456 0.2528 0.0303
Nb 0.1754 0.5000 0.7601
Nb 0.4806 0.5000 0.2700
O 0.0027 0.5000 0.6848
O 0.0036 0.0000 0.6377
O 0.0622 0.2416 0.3897
O 0.0986 0.2639 0.9016
O 0.1459 0.0000 0.1631
O 0.1715 0.5000 0.1296
O 0.2417 0.2469 0.6624
O 0.3125 0.0000 0.4315
O 0.3148 0.0000 0.9306
O 0.3277 0.5000 0.3822
O 0.3357 0.5000 0.8845
O 0.4018 0.2637 0.1515

The 6 most intense peaks (2θ from 10° to 90°), in order of rising 2θ:
- (2 0 -1), 4.661 Å, 19.04 deg, rel. 1000
- (1 1 1), 4.630 Å, 19.17 deg, rel. 238
- (2 0 -2), 3.641 Å, 24.45 deg, rel. 253
- (1 1 3), 2.800 Å, 31.96 deg, rel. 189
- (0 2 2), 2.600 Å, 34.49 deg, rel. 322
- (2 2 -3), 2.073 Å, 43.66 deg, rel. 235

[3]
Theoretical XRD peak list
Compound: Li4Mn3NbO8
Radiation: Cu Kα (λ = 1.5418 Å)
Structure: a cell relaxed with PBE+U

Atomic structure:
abc: 6.1676 6.2322 10.4529
angles: 74.09 73.07 60.55
Space group P1 (No. 1)
One atom of each set of equivalent atoms:
Li 0.0000 0.0000 0.0000
Li 0.0003 0.0200 0.4991
Li 0.0251 0.5012 0.4889
Li 0.4752 0.0128 0.0103
Li 0.5008 0.4952 0.0000
Li 0.5014 0.5143 0.4993
Li 0.5050 0.9820 0.5114
Li 0.9950 0.5346 0.9872
Mn 0.2508 0.2567 0.2495
Mn 0.2507 0.7564 0.2497
Mn 0.2506 0.7578 0.7495
Mn 0.7503 0.2576 0.7498
Mn 0.7511 0.2566 0.2498
Mn 0.7506 0.7576 0.7494
Nb 0.2502 0.2577 0.7496
Nb 0.7508 0.7567 0.2496
O 0.0945 0.6326 0.1271
O 0.1320 0.1584 0.6242
O 0.1383 0.0864 0.1433
O 0.1495 0.6132 0.6380
O 0.3512 0.9020 0.8610
O 0.3635 0.4260 0.3563
O 0.3685 0.3566 0.8749
O 0.4071 0.8807 0.3720
O 0.5907 0.6397 0.6424
O 0.5998 0.1379 0.6293
O 0.6102 0.6491 0.1336
O 0.6421 0.0966 0.1306
O 0.8596 0.4165 0.3686
O 0.8914 0.8638 0.3657
O 0.9007 0.3774 0.8697
O 0.9099 0.8753 0.8567

The 6 most intense peaks (2θ from 10° to 90°), in order of rising 2θ:
- (0 0 2), 4.938 Å, 17.96 deg, rel. 1000
- (2 2 2), 2.627 Å, 34.13 deg, rel. 182
- (2 2 0), 2.530 Å, 35.49 deg, rel. 190
- (0 2 -2), 2.214 Å, 40.76 deg, rel. 280
- (2 0 -2), 2.165 Å, 41.72 deg, rel. 263
- (2 2 4), 2.154 Å, 41.94 deg, rel. 263

[4]
Theoretical XRD peak list
Compound: Li4Mn3NbO8
Radiation: Cu Kα (λ = 1.5418 Å)
Structure: a cell relaxed with PBE+U

Atomic structure:
abc: 6.2211 6.2211 14.7765
angles: 90.00 90.00 120.00
Space group R3m (No. 160, hexagonal axes)
One atom of each set of equivalent atoms:
Li 0.0000 0.0000 0.0000
Li 0.1704 0.3409 0.3321
Mn 0.0000 0.5000 0.4963
Nb 0.0000 0.0000 0.4963
O 0.0000 0.0000 0.2342
O 0.0000 0.0000 0.7583
O 0.0247 0.5123 0.2449
O 0.1790 0.3580 0.0810

The 6 most intense peaks (2θ from 10° to 90°), in order of rising 2θ:
- (0 0 3), 4.926 Å, 18.01 deg, rel. 1000
- (0 2 1), 2.650 Å, 33.82 deg, rel. 537
- (0 2 4), 2.177 Å, 41.49 deg, rel. 857
- (2 0 5), 1.991 Å, 45.56 deg, rel. 200
- (2 2 0), 1.555 Å, 59.43 deg, rel. 253
- (2 0 8), 1.523 Å, 60.80 deg, rel. 232

[5]
Theoretical XRD peak list
Compound: Li4Mn3NbP4O16
Radiation: Cu Kα (λ = 1.5418 Å)
Structure: a cell relaxed with PBE+U

Atomic structure:
abc: 4.7903 6.2307 10.6667
angles: 90.00 90.01 90.00
Space group Pm (No. 6)
One atom of each set of equivalent atoms:
Li 0.0000 0.2469 0.0000
Li 0.5009 0.2515 0.5014
Mn 0.0247 0.5000 0.2799
Mn 0.4727 0.5000 0.7799
Mn 0.9724 0.0000 0.7179
Nb 0.5287 0.0000 0.2224
P 0.0893 0.0000 0.4101
P 0.4101 0.0000 0.9045
P 0.5941 0.5000 0.0884
P 0.9107 0.5000 0.5914
O 0.2151 0.0000 0.5443
O 0.2180 0.2022 0.3414
O 0.2317 0.5000 0.5958
O 0.2734 0.5000 0.0964
O 0.2780 0.1994 0.8361
O 0.2861 0.0000 0.0397
O 0.7097 0.5000 0.9524
O 0.7309 0.0000 0.9007
O 0.7335 0.3039 0.1568
O 0.7682 0.0000 0.4108
O 0.7786 0.3007 0.6599
O 0.7896 0.5000 0.4555

The 6 most intense peaks (2θ from 10° to 90°), in order of rising 2θ:
- (0 0 2), 5.333 Å, 16.62 deg, rel. 322
- (1 0 -1), 4.370 Å, 20.32 deg, rel. 487
- (1 1 -1), 3.577 Å, 24.89 deg, rel. 886
- (0 2 0), 3.115 Å, 28.65 deg, rel. 636
- (1 1 3), 2.596 Å, 34.56 deg, rel. 1000
- (2 2 2), 1.789 Å, 51.06 deg, rel. 340

[6]
Theoretical XRD peak list
Compound: Li4Mn3NbV2P6O24
Radiation: Cu Kα (λ = 1.5418 Å)
Structure: a cell relaxed with PBE+U

Atomic structure:
abc: 8.6242 8.6729 8.6817
angles: 63.19 63.40 63.27
Space group P1 (No. 1)
One atom of each set of equivalent atoms:
Li 0.0000 0.0000 0.0000
Li 0.1042 0.9377 0.4915
Li 0.2127 0.4406 0.3481
Li 0.5590 0.6493 0.7918
Mn 0.1947 0.6325 0.9837
Mn 0.5046 0.9445 0.2857
Mn 0.6995 0.1431 0.4877
Nb 0.0036 0.4447 0.7947
V 0.3560 0.7925 0.1369
V 0.8446 0.2939 0.6382
P 0.1043 0.2342 0.2049
P 0.2886 0.0413 0.6921
P 0.4162 0.5447 0.5817
P 0.6036 0.3486 0.0862
P 0.7924 0.8573 0.8947
P 0.9169 0.7428 0.3941
O 0.0351 0.2874 0.0418
O 0.0929 0.1952 0.7311
O 0.1038 0.7157 0.2379
O 0.1749 0.3816 0.1752
O 0.2459 0.0424 0.2132
O 0.2516 0.4701 0.6423
O 0.2790 0.8903 0.8831
O 0.2934 0.9848 0.5464
O 0.3858 0.6132 0.7313
O 0.3987 0.6999 0.4025
O 0.4453 0.1099 0.6355
O 0.4510 0.5403 0.0669
O 0.5435 0.1970 0.1130
O 0.6010 0.3948 0.5607
O 0.6043 0.8614 0.0368
O 0.6801 0.3103 0.2305
O 0.7512 0.7885 0.3437
O 0.7532 0.3821 0.8857
O 0.7923 0.0343 0.7324
O 0.8506 0.6901 0.8266
O 0.9046 0.8832 0.4626
O 0.9394 0.5433 0.5438
O 0.9398 0.8239 0.9697
O 0.9562 0.2127 0.3931

The 6 most intense peaks (2θ from 10° to 90°), in order of rising 2θ:
- (0 1 -1), 4.543 Å, 19.54 deg, rel. 1000
- (1 0 2), 3.799 Å, 23.42 deg, rel. 914
- (2 1 0), 3.781 Å, 23.53 deg, rel. 452
- (1 3 2), 2.754 Å, 32.51 deg, rel. 444
- (2 1 3), 2.746 Å, 32.61 deg, rel. 409
- (-2 1 1), 2.623 Å, 34.19 deg, rel. 788